Structure and simulated powder X-ray diffraction pattern of Ce6In5Pd12 (the PBE geometry in the Materials Project; Cu Kα X-rays).

The 6 most intense peaks (5 to 70 degrees two-theta), in order of falling intensity:
| 2theta | I_rel | h k l |
| --- | --- | --- |
| 37.64 | 100.0 | 3 0 0 |
| 35.01 | 60.7 | 1 1 5 |
| 39.65 | 46.2 | 1 1 6 |
| 33.52 | 28.6 | 2 1 1 |
| 37.06 | 17.6 | 2 1 3 |
| 30.77 | 16.7 | 1 1 4 |

a = 8.278 Å, b = 8.278 Å, c = 16.319 Å
α = 90.00°, β = 90.00°, γ = 120.00°
Fractional positions:
Ce1 0.000 0.277 0.122
Ce2 0.000 0.277 0.378
Ce3 0.000 0.723 0.622
Ce4 0.000 0.723 0.878
Ce5 0.277 0.000 0.122
Ce6 0.277 0.000 0.378
Ce7 0.277 0.277 0.622
Ce8 0.277 0.277 0.878
Ce9 0.723 0.000 0.622
Ce10 0.723 0.000 0.878
Ce11 0.723 0.723 0.122
Ce12 0.723 0.723 0.378
In1 0.000 0.368 0.750
In2 0.000 0.632 0.250
In3 0.333 0.667 0.000
In4 0.333 0.667 0.500
In5 0.368 0.000 0.750
In6 0.368 0.368 0.250
In7 0.632 0.000 0.250
In8 0.632 0.632 0.750
In9 0.667 0.333 0.000
In10 0.667 0.333 0.500
Pd1 0.000 0.000 0.000
Pd2 0.000 0.000 0.250
Pd3 0.000 0.000 0.500
Pd4 0.000 0.000 0.750
Pd5 0.000 0.383 0.571
Pd6 0.000 0.383 0.929
Pd7 0.000 0.617 0.071
Pd8 0.000 0.617 0.429
Pd9 0.333 0.667 0.167
Pd10 0.333 0.667 0.333
Pd11 0.333 0.667 0.667
Pd12 0.333 0.667 0.833
Pd13 0.383 0.000 0.571
Pd14 0.383 0.000 0.929
Pd15 0.383 0.383 0.071
Pd16 0.383 0.383 0.429
Pd17 0.617 0.000 0.071
Pd18 0.617 0.000 0.429
Pd19 0.617 0.617 0.571
Pd20 0.617 0.617 0.929
Pd21 0.667 0.333 0.167
Pd22 0.667 0.333 0.333
Pd23 0.667 0.333 0.667
Pd24 0.667 0.333 0.833